LaZrGa2Au2: simulated X-ray powder pattern (Cu Ka), based on a DFT-relaxed cell (GGA-PBE, OQMD).
Neutral-atom scattering factors, no anomalous dispersion.

Crystal structure
Cell: 4.5234 4.5234 7.2123 Å, 90.00 90.00 120.00°
Space group P-6m2 (No. 187)
One atom of each set of equivalent atoms:
1 La 0.0000 0.0000 0.0000 [1 per cell]
2 Zr 0.0000 0.0000 0.5000 [1 per cell]
3 Ga 0.3333 0.6667 0.3018 [2 per cell]
4 Au 0.6667 0.3333 0.2816 [2 per cell]

The 12 most intense peaks (10° ≤ 2θ ≤ 90°), low angle first:
- 2θ 22.7, I = 23, hkl 1 0 0
- 2θ 24.7, I = 9, hkl 0 0 2
- 2θ 25.9, I = 9, hkl 1 0 1
- 2θ 33.8, I = 100, hkl 1 0 2
- 2θ 39.9, I = 71, hkl 1 1 0
- 2θ 47.5, I = 9, hkl 1 1 2
- 2θ 53.2, I = 28, hkl 2 0 2
- 2θ 55.8, I = 13, hkl 1 1 3
- 2θ 66.3, I = 16, hkl 1 1 4
- 2θ 68.5, I = 26, hkl 2 1 2
- 2θ 72.4, I = 12, hkl 3 0 0
- 2θ 86.0, I = 8, hkl 2 2 0